NaCr2O4: computed XRD peak list (Cu Kα, 1.54184 Å), based on a structure optimized by DFT (PBE+U).
No peak broadening, texture or thermal motion is included.

Largest 12 diffraction maxima, low angle first, 10 to 90 degrees two-theta:
index	d_spacing	Position (°2θ)	intensity
0 0 1	5.584	15.9	100
0 0 2	2.792	32.1	10
1 1 0	2.562	35.0	6
1 -1 0	2.534	35.4	10
1 1 -1	2.197	41.1	44
1 -1 1	2.183	41.4	21
0 2 3	1.760	52.0	6
1 1 3	1.638	56.2	6
-1 1 3	1.625	56.6	5
2 0 0	1.494	62.1	6
1 3 1	1.490	62.3	6
-1 3 1	1.472	63.1	5

Atomic structure:
Unit cell a=2.989 b=5.117 c=5.862 alpha=72.29 beta=89.58 gamma=89.19
Fractional positions:
Na 0.000 0.000 0.000
Cr 0.000 0.500 0.500
Cr 0.500 0.000 0.500
O 0.012 0.218 0.321
O 0.497 0.743 0.316
O 0.503 0.257 0.684
O 0.988 0.782 0.679